For K2PrNb5O15, a DFT-relaxed cell (PBE, the Materials Project) gives the simulated powder XRD pattern in this record (Cu Kα (weighted mean of Kα1 and Kα2)).
Lines closer than 0.1° are merged.

Structural model:
a b c (Å): 12.794 12.794 3.969
angles (deg): 90.00 90.00 90.00
Sites, in units of the cell vectors:
K 0.170 0.330 0.000
K 0.330 0.830 0.000
K 0.670 0.170 0.000
K 0.830 0.670 0.000
Pr 0.000 0.000 0.000
Pr 0.500 0.500 0.000
Nb 0.000 0.500 0.500
Nb 0.077 0.787 0.500
Nb 0.213 0.077 0.500
Nb 0.287 0.577 0.500
Nb 0.423 0.287 0.500
Nb 0.500 0.000 0.500
Nb 0.577 0.713 0.500
Nb 0.713 0.423 0.500
Nb 0.787 0.923 0.500
Nb 0.923 0.213 0.500
O 0.000 0.500 0.000
O 0.001 0.343 0.500
O 0.059 0.132 0.500
O 0.080 0.809 0.000
O 0.132 0.941 0.500
O 0.157 0.499 0.500
O 0.191 0.080 0.000
O 0.218 0.718 0.500
O 0.282 0.218 0.500
O 0.309 0.580 0.000
O 0.343 0.999 0.500
O 0.368 0.441 0.500
O 0.420 0.309 0.000
O 0.441 0.632 0.500
O 0.499 0.843 0.500
O 0.500 0.000 0.000
O 0.501 0.157 0.500
O 0.559 0.368 0.500
O 0.580 0.691 0.000
O 0.632 0.559 0.500
O 0.657 0.001 0.500
O 0.691 0.420 0.000
O 0.718 0.782 0.500
O 0.782 0.282 0.500
O 0.809 0.920 0.000
O 0.843 0.501 0.500
O 0.868 0.059 0.500
O 0.920 0.191 0.000
O 0.941 0.868 0.500
O 0.999 0.657 0.500

Top 12 peaks for 10 to 90 degrees two-theta, sorted by position:
13.84 deg, I = 38
22.40 deg, I = 33
25.10 deg, I = 45
27.35 deg, I = 37
28.77 deg, I = 54
29.95 deg, I = 35
31.27 deg, I = 50
31.58 deg, I = 100
33.89 deg, I = 22
44.80 deg, I = 30
45.72 deg, I = 34
55.84 deg, I = 48

For SrGeP2O8, a DFT-relaxed cell (PBE, the Materials Project) gives the simulated powder XRD pattern in this record (Cu Kα (weighted mean of Kα1 and Kα2)).
Lines closer than 0.1° are merged.

Structural model:
a b c (Å): 4.748 4.748 7.498
angles (deg): 93.27 93.27 65.41
Sites, in units of the cell vectors:
Sr 0.000 0.000 0.000
Ge 0.000 0.000 0.500
P 0.365 0.365 0.706
P 0.635 0.635 0.294
O 0.230 0.230 0.550
O 0.231 0.726 0.686
O 0.274 0.769 0.314
O 0.308 0.308 0.895
O 0.692 0.692 0.105
O 0.726 0.231 0.686
O 0.769 0.274 0.314
O 0.770 0.770 0.450

Top 12 peaks for 10 to 90 degrees two-theta, sorted by position:
20.59 deg, I = 75
22.30 deg, I = 68
24.19 deg, I = 33
31.07 deg, I = 100
32.25 deg, I = 69
34.98 deg, I = 40
38.14 deg, I = 66
42.74 deg, I = 33
47.90 deg, I = 22
52.63 deg, I = 24
64.80 deg, I = 26
65.56 deg, I = 29

For KPO3, a DFT-relaxed cell (PBE, the Materials Project) gives the simulated powder XRD pattern in this record (Cu Kα (weighted mean of Kα1 and Kα2)).
Lines closer than 0.1° are merged.

Structural model:
a b c (Å): 10.533 4.622 14.284
angles (deg): 90.00 101.31 90.00
Sites, in units of the cell vectors:
K 0.067 0.221 0.171
K 0.067 0.279 0.671
K 0.398 0.736 0.631
K 0.398 0.764 0.131
K 0.602 0.236 0.869
K 0.602 0.264 0.369
K 0.933 0.721 0.329
K 0.933 0.779 0.829
P 0.216 0.204 0.445
P 0.216 0.296 0.945
P 0.310 0.703 0.347
P 0.310 0.797 0.847
P 0.690 0.203 0.153
P 0.690 0.297 0.653
P 0.784 0.704 0.055
P 0.784 0.796 0.555
O 0.084 0.225 0.382
O 0.084 0.275 0.882
O 0.199 0.721 0.263
O 0.199 0.779 0.763
O 0.237 0.227 0.049
O 0.237 0.273 0.549
O 0.277 0.618 0.938
O 0.277 0.882 0.438
O 0.321 0.117 0.896
O 0.321 0.383 0.396
O 0.443 0.726 0.833
O 0.443 0.774 0.333
O 0.557 0.226 0.667
O 0.557 0.274 0.167
O 0.679 0.617 0.604
O 0.679 0.883 0.104
O 0.723 0.118 0.562
O 0.723 0.382 0.062
O 0.763 0.727 0.451
O 0.763 0.773 0.951
O 0.801 0.221 0.237
O 0.801 0.279 0.737
O 0.916 0.725 0.118
O 0.916 0.775 0.618

Top 12 peaks for 10 to 90 degrees two-theta, sorted by position:
13.82 deg, I = 43
16.63 deg, I = 15
17.17 deg, I = 25
23.32 deg, I = 17
25.48 deg, I = 77
25.87 deg, I = 100
26.52 deg, I = 15
27.84 deg, I = 17
32.06 deg, I = 28
34.04 deg, I = 16
38.98 deg, I = 58
39.86 deg, I = 23

For KDyI3, a DFT-relaxed cell (PBE, the Materials Project) gives the simulated powder XRD pattern in this record (Cu Kα (weighted mean of Kα1 and Kα2)).
Lines closer than 0.1° are merged.

Structural model:
a b c (Å): 8.236 8.236 11.668
angles (deg): 90.00 90.00 149.72
Sites, in units of the cell vectors:
K 0.247 0.753 0.750
K 0.753 0.247 0.250
Dy 0.000 0.000 0.000
Dy 0.000 0.000 0.500
I 0.071 0.929 0.250
I 0.365 0.635 0.055
I 0.365 0.635 0.445
I 0.635 0.365 0.555
I 0.635 0.365 0.945
I 0.929 0.071 0.750

Top 12 peaks for 10 to 90 degrees two-theta, sorted by position:
11.13 deg, I = 64
15.19 deg, I = 41
25.50 deg, I = 71
26.69 deg, I = 100
27.78 deg, I = 53
30.65 deg, I = 31
30.85 deg, I = 76
37.27 deg, I = 39
37.68 deg, I = 31
38.43 deg, I = 51
42.00 deg, I = 31
47.53 deg, I = 24

For CoN, a DFT-relaxed cell (PBE, the Materials Project) gives the simulated powder XRD pattern in this record (Cu Kα (weighted mean of Kα1 and Kα2)).
Lines closer than 0.1° are merged.

Structural model:
a b c (Å): 4.256 4.256 4.256
angles (deg): 90.00 90.00 90.00
Sites, in units of the cell vectors:
Co 0.000 0.000 0.000
Co 0.000 0.500 0.500
Co 0.500 0.000 0.500
Co 0.500 0.500 0.000
N 0.250 0.250 0.250
N 0.250 0.750 0.750
N 0.750 0.250 0.750
N 0.750 0.750 0.250

Top 5 peaks for 10 to 90 degrees two-theta, sorted by position:
36.57 deg, I = 100
42.47 deg, I = 29
61.63 deg, I = 38
73.84 deg, I = 32
77.72 deg, I = 6